1.
Computed powder X-ray diffraction pattern of Bi3Os for Cu Ka, from DFT lattice parameters and positions (PBE).

Crystal structure
```
data_Bi3Os
_cell_length_a 8.944
_cell_length_b 4.272
_cell_length_c 11.754
_cell_angle_alpha 90.00
_cell_angle_beta 90.00
_cell_angle_gamma 90.00
_space_group_name_H-M_alt 'P n m a'
_space_group_IT_number 62
loop_
_space_group_symop_operation_xyz
'x,y,z'
'-x,-y,-z'
'-x+1/2,-y,z+1/2'
'x+1/2,y,-z+1/2'
'x+1/2,-y+1/2,-z+1/2'
'-x+1/2,y+1/2,z+1/2'
'-x,y+1/2,-z'
'x,-y+1/2,z'
loop_
_atom_site_label
_atom_site_type_symbol
_atom_site_fract_x
_atom_site_fract_y
_atom_site_fract_z
Bi1 Bi 0.095 0.250 0.178
Bi2 Bi 0.102 0.250 0.588
Bi3 Bi 0.201 0.250 0.887
Os1 Os 0.100 0.750 0.020
```

Main lines, in order of rising 2θ (2θ from 5° to 70°):
- 2θ 12.4, I 56, hkl 1 0 1
- 2θ 28.9, I 50, hkl 2 1 0
- 2θ 30.3, I 39, hkl 2 0 3
- 2θ 31.0, I 100, hkl 0 1 3
- 2θ 32.6, I 63, hkl 1 1 3
- 2θ 33.7, I 76, hkl 3 0 2
- 2θ 37.6, I 55, hkl 3 1 1
- 2θ 42.3, I 54, hkl 0 2 0
- 2θ 42.5, I 62, hkl 2 1 4
- 2θ 55.2, I 39, hkl 3 2 2

2.
Computed powder X-ray diffraction pattern of Cd3CBr for Cu Ka, from DFT lattice parameters and positions (PBE).

Crystal structure
```
data_Cd3CBr
_cell_length_a 7.7765
_cell_length_b 7.7765
_cell_length_c 7.4217
_cell_angle_alpha 90.00
_cell_angle_beta 90.00
_cell_angle_gamma 120.00
_space_group_name_H-M_alt 'P 63/m m c'
_space_group_IT_number 194
_space_group_name_Hall '-P 6c 2c'
loop_
_atom_site_label
_atom_site_type_symbol
_atom_site_fract_x
_atom_site_fract_y
_atom_site_fract_z
Cd1 Cd 0.1777 0.3554 0.2500
C1 C 0.3333 0.6667 0.2500
Br1 Br 0.0000 0.0000 0.0000
```

Main lines, in order of rising 2θ (2θ from 5° to 70°):
- 2θ 13.1, I 47, hkl 1 0 0
- 2θ 17.8, I 67, hkl 1 0 1
- 2θ 24.0, I 26, hkl 0 0 2
- 2θ 29.1, I 100, hkl 2 0 1
- 2θ 33.4, I 29, hkl 1 1 2
- 2θ 35.3, I 26, hkl 2 1 0
- 2θ 36.0, I 46, hkl 2 0 2
- 2θ 45.5, I 29, hkl 2 0 3
- 2θ 46.7, I 29, hkl 2 2 0
- 2θ 53.2, I 14, hkl 2 2 2

3.
Computed powder X-ray diffraction pattern of GdSc6O3 for Cu Ka, from DFT lattice parameters and positions (PBE).

Crystal structure
```
data_GdSc6O3
_cell_length_a 8.005
_cell_length_b 8.005
_cell_length_c 8.000
_cell_angle_alpha 90.00
_cell_angle_beta 90.00
_cell_angle_gamma 90.00
_space_group_name_H-M_alt 'I 4/m m m'
_space_group_IT_number 139
_space_group_name_Hall '-I 4 2'
loop_
_atom_site_label
_atom_site_type_symbol
_atom_site_fract_x
_atom_site_fract_y
_atom_site_fract_z
Gd1 Gd 0.000 0.000 0.000
Sc1 Sc 0.000 0.000 0.281
Sc2 Sc 0.000 0.340 0.000
O1 O 0.000 0.000 0.500
O2 O 0.000 0.500 0.250
```

Main lines, in order of rising 2θ (2θ from 5° to 70°):
- 2θ 15.7, I 100, hkl 1 0 1
- 2θ 22.2, I 99, hkl 2 0 0
- 2θ 35.5, I 83, hkl 3 0 1
- 2θ 42.3, I 32, hkl 3 2 1
- 2θ 45.3, I 19, hkl 0 0 4
- 2θ 48.2, I 36, hkl 3 3 0
- 2θ 51.0, I 19, hkl 2 0 4
- 2θ 53.7, I 23, hkl 3 3 2
- 2θ 58.8, I 22, hkl 3 1 4
- 2θ 68.3, I 24, hkl 3 3 4